Pa2Mn: computed powder diffraction line list (Cu Kα X-rays), based on a DFT-relaxed cell (GGA-PBE, Alexandria).
No peak broadening, texture or thermal motion is included.

Atomic structure:
Cell: 3.5151 3.5151 9.5562 Å, 90.00 90.00 90.00°
Space group I4/mmm (No. 139)
One atom of each set of equivalent atoms:
Pa 0.0000 0.0000 0.1558 x4
Mn 0.0000 0.0000 0.5000 x2

The 10 most intense peaks (10° ≤ 2θ ≤ 80°), low angle first:
2θ 18.6, I 74; 2θ 27.0, I 370; 2θ 36.1, I 600; 2θ 37.7, I 75; 2θ 38.1, I 1000; 2θ 52.0, I 215; 2θ 53.2, I 116; 2θ 59.6, I 91; 2θ 66.3, I 402; 2θ 70.2, I 152